Diffraction record for PrEr2Tm7. The powder diffractogram is theoretical, not measured: it uses a PBE-relaxed structure and Cu Kα.
Kinematic intensities with the Lorentz-polarization factor, no thermal factor.

Principal peaks in the range 2θ from 10° to 80°, low angle first:
| (hkl) | 2theta | intensity |
| --- | --- | --- |
| 1 1 1 | 31.1 | 87 |
| 1 5 -1 | 31.8 | 100 |
| 2 0 -2 | 33.4 | 46 |
| 2 4 0 | 33.7 | 44 |
| 1 3 1 | 34.8 | 19 |
| 1 9 1 | 59.5 | 19 |

Atomic structure:
```
data_PrEr2Tm7
_space_group_name_H-M_alt 'C 1 2/m 1'
_space_group_IT_number 12
_cell_length_a 8.786
_cell_length_b 16.495
_cell_length_c 5.366
_cell_angle_alpha 90.00
_cell_angle_beta 127.59
_cell_angle_gamma 90.00
loop_
_space_group_symop_operation_xyz
'x,y,z'
'-x,-y,-z'
'-x,y,-z'
'x,-y,z'
'x+1/2,y+1/2,z'
'-x+1/2,-y+1/2,-z'
'-x+1/2,y+1/2,-z'
'x+1/2,-y+1/2,z'
loop_
_atom_site_label
_atom_site_type_symbol
_atom_site_fract_x
_atom_site_fract_y
_atom_site_fract_z
Pr1 Pr 0.000 0.000 0.000
Er1 Er 0.000 0.301 0.500
Tm1 Tm 0.000 0.201 0.000
Tm2 Tm 0.000 0.500 0.500
Tm3 Tm 0.248 0.389 0.248
```